Calculated X-ray powder pattern of Mn2PH2CO7 for Cu Kα, 1.54184 Å, from DFT lattice parameters and positions (GGA+U).
Peak positions follow from Bragg's law for the DFT cell and can differ from measured ones.

Atomic structure:
```
data_Mn2PH2CO7
_chemical_formula_sum 'Mn8 P4 H8 C4 O28'
_cell_length_a 10.3450
_cell_length_b 6.5942
_cell_length_c 10.1752
_cell_angle_alpha 90.00
_cell_angle_beta 116.49
_cell_angle_gamma 90.00
_symmetry_space_group_name_H-M 'P 1 21/c 1'
_symmetry_Int_Tables_number 14
loop_
_symmetry_equiv_pos_as_xyz
'x,y,z'
'-x,-y,-z'
'-x,y+1/2,-z+1/2'
'x,-y+1/2,z+1/2'
loop_
_atom_site_label
_atom_site_fract_x
_atom_site_fract_y
_atom_site_fract_z
Mn1 0.1164 0.1463 0.4742
Mn2 0.2345 0.5263 0.7329
P1 0.1018 0.6513 0.3946
H1 0.2655 0.0445 0.7785
H2 0.3780 0.1216 0.7218
C1 0.4595 0.0460 0.5415
O1 0.0450 0.0988 0.2386
O2 0.0781 0.6731 0.9854
O3 0.1566 0.0333 0.0026
O4 0.2137 0.7008 0.3381
O5 0.2823 0.1507 0.7183
O6 0.3281 0.0905 0.4632
O7 0.4718 0.5696 0.8206
```

Peak list (10 most intense, 2θ from 10° to 90°, sorted by position)
- 5.344 Å, I = 36
- 5.260 Å, I = 95
- 3.513 Å, I = 30
- 3.338 Å, I = 28
- 3.084 Å, I = 100
- 2.996 Å, I = 33
- 2.778 Å, I = 27
- 2.700 Å, I = 27
- 2.580 Å, I = 58
- 2.131 Å, I = 33